[1]
Computed X-ray diffraction stick pattern of SmB2C2 for Cu Kα (λ = 1.5418 Å), from a crystal structure in the Materials Project, relaxed with GGA-PBE.
Lines closer than 0.1° are merged.

Principal peaks in the range 10° ≤ 2θ ≤ 90°, most intense first:
Position (°2θ), I_rel
33.7, 100
23.4, 87
41.4, 55
33.3, 37
53.9, 27
59.7, 26
23.9, 26
54.1, 21

Structure:
```
10
Lattice="5.3808 0.0000 0.0000 0.0000 5.3808 0.0000 0.0000 0.0000 3.7263" Properties=species:S:1:pos:R:3 pbc="T T T"
Sm 0.0000 0.0000 0.0000
Sm 2.6904 2.6904 0.0000
B 0.7404 1.9500 1.8632
B 1.9500 4.6404 1.8632
B 3.4308 0.7404 1.8632
B 4.6404 3.4308 1.8632
C 0.8660 3.5564 1.8632
C 1.8244 0.8660 1.8632
C 3.5564 4.5148 1.8632
C 4.5148 1.8244 1.8632
```



[2]
Computed X-ray diffraction stick pattern of Tl3Ru for Cu Kα (λ = 1.5418 Å), from a crystal structure in the Materials Project, relaxed with GGA-PBE.
Lines closer than 0.1° are merged.

Principal peaks in the range 10° ≤ 2θ ≤ 90°, most intense first:
Position (°2θ), I_rel
36.7, 100
33.8, 28
32.4, 23
62.4, 22
68.7, 21
57.8, 18
47.6, 16
70.4, 15

Structure:
```
8
Lattice="6.3810 0.0000 0.0000 -3.1905 5.5261 0.0000 0.0000 0.0000 5.2982" Properties=species:S:1:pos:R:3 pbc="T T T"
Tl 0.0000 1.9054 1.3246
Tl -1.5404 4.5734 1.3246
Tl 1.6501 0.9527 3.9737
Tl 1.5404 4.5734 1.3246
Tl 4.7309 0.9527 3.9737
Tl 3.1905 3.6207 3.9737
Ru 0.0000 3.6841 3.9737
Ru 3.1905 1.8420 1.3246
```



[3]
Computed X-ray diffraction stick pattern of RbGaBr4 for Cu Kα (λ = 1.5418 Å), from a crystal structure in the Materials Project, relaxed with GGA-PBE.
Lines closer than 0.1° are merged.

Principal peaks in the range 10° ≤ 2θ ≤ 90°, most intense first:
Position (°2θ), I_rel
22.0, 100
28.5, 80
25.5, 72
30.3, 60
27.8, 54
51.4, 52
20.3, 51
27.1, 49

Structure:
```
24
Lattice="12.3037 0.0000 0.0000 0.0000 7.7830 0.0000 0.0000 0.0000 10.2645" Properties=species:S:1:pos:R:3 pbc="T T T"
Rb 2.2698 1.9457 1.6405
Rb 3.8821 5.8372 6.7728
Rb 8.4216 1.9457 3.4917
Rb 10.0339 5.8372 8.6239
Ga 0.7763 1.9457 7.0849
Ga 5.3755 5.8372 1.9527
Ga 6.9281 1.9457 8.3118
Ga 11.5274 5.8372 3.1795
Br 1.0210 0.0337 8.4736
Br 1.0210 3.8578 8.4736
Br 1.3699 5.8372 4.1215
Br 2.4918 1.9457 5.4709
Br 3.6600 5.8372 0.3387
Br 4.7819 1.9457 9.2538
Br 5.1308 3.9252 3.3414
Br 5.1308 7.7493 3.3414
Br 7.1729 0.0337 6.9231
Br 7.1729 3.8578 6.9231
Br 7.5218 5.8372 1.0107
Br 8.6437 1.9457 9.9258
Br 9.8119 5.8372 4.7935
Br 10.9338 1.9457 6.1429
Br 11.2827 3.9252 1.7908
Br 11.2827 7.7493 1.7908
```



[4]
Computed X-ray diffraction stick pattern of MgMo2WSe4S2 for Cu Kα (λ = 1.5418 Å), from a crystal structure in the Materials Project, relaxed with GGA-PBE.
Lines closer than 0.1° are merged.

Principal peaks in the range 10° ≤ 2θ ≤ 90°, most intense first:
Position (°2θ), I_rel
11.7, 100
38.0, 42
46.0, 35
36.4, 30
31.6, 26
56.3, 20
14.6, 15
43.8, 15

Structure:
```
10
Lattice="3.2668 0.0000 0.0000 1.6334 2.8291 0.0000 0.0001 0.0001 30.3326" Properties=species:S:1:pos:R:3 pbc="T T T"
Mg 0.0000 0.0000 0.0000
Mo 1.6395 2.8005 8.1146
Mo 1.6396 2.8005 22.1500
W 3.2728 1.8573 15.1325
Se 3.2729 1.8574 6.4208
Se 3.2729 1.8574 9.8088
Se 3.2730 1.8575 20.4549
Se 3.2730 1.8575 23.8453
S 1.6394 2.8004 13.5914
S 1.6394 2.8004 16.6739
```



[5]
Computed X-ray diffraction stick pattern of Ba2MgCuO3 for Cu Kα (λ = 1.5418 Å), from a crystal structure in the Materials Project, relaxed with GGA-PBE.
Lines closer than 0.1° are merged.

Principal peaks in the range 10° ≤ 2θ ≤ 90°, most intense first:
Position (°2θ), I_rel
34.7, 100
33.9, 89
34.8, 77
39.9, 47
28.8, 44
24.4, 36
61.3, 35
27.9, 31

Structure:
```
14
Lattice="3.5665 0.0000 0.0000 0.0000 3.7247 0.0000 0.0000 0.0000 18.7888" Properties=species:S:1:pos:R:3 pbc="T T T"
Ba 0.0000 0.0000 0.0000
Ba 0.0000 0.0000 4.1679
Ba 1.7832 1.8623 9.3944
Ba 1.7832 1.8623 13.5623
Mg 0.0000 1.8623 16.1991
Mg 1.7832 0.0000 6.8047
Cu 0.0000 0.0000 11.4791
Cu 1.7832 1.8623 2.0848
O 0.0000 0.0000 7.9070
O 0.0000 0.0000 15.0624
O 0.0000 1.8623 11.4980
O 1.7832 0.0000 2.1036
O 1.7832 1.8623 5.6680
O 1.7832 1.8623 17.3014
```



[6]
Computed X-ray diffraction stick pattern of Ba2Sb3O8 for Cu Kα (λ = 1.5418 Å), from a crystal structure in the Materials Project, relaxed with GGA-PBE.
Lines closer than 0.1° are merged.

Principal peaks in the range 10° ≤ 2θ ≤ 90°, most intense first:
Position (°2θ), I_rel
31.5, 100
30.6, 62
26.4, 44
43.8, 44
55.0, 41
49.9, 28
22.8, 18
38.4, 18

Structure:
```
13
Lattice="4.1303 0.0000 0.0000 0.0000 4.1303 0.0000 0.0000 0.0000 11.7261" Properties=species:S:1:pos:R:3 pbc="T T T"
Ba 0.0000 0.0000 2.1980
Ba 0.0000 0.0000 9.5280
Sb 2.0651 2.0651 0.0000
Sb 2.0651 2.0651 4.3513
Sb 2.0651 2.0651 7.3747
O 0.0000 2.0651 0.0000
O 0.0000 2.0651 4.0477
O 0.0000 2.0651 7.6784
O 2.0651 0.0000 0.0000
O 2.0651 0.0000 4.0477
O 2.0651 0.0000 7.6784
O 2.0651 2.0651 2.0189
O 2.0651 2.0651 9.7072
```



[7]
Computed X-ray diffraction stick pattern of Sr2CeNbO6 for Cu Kα (λ = 1.5418 Å), from a crystal structure in the Materials Project, relaxed with GGA-PBE.
Lines closer than 0.1° are merged.

Principal peaks in the range 10° ≤ 2θ ≤ 90°, most intense first:
Position (°2θ), I_rel
29.8, 100
52.8, 45
42.6, 29
85.6, 23
70.1, 18
61.8, 17
20.9, 7
77.9, 5

Structure:
```
40
Lattice="8.4933 0.0000 0.0000 0.0000 8.4933 0.0000 0.0000 0.0000 8.4933" Properties=species:S:1:pos:R:3 pbc="T T T"
Sr 2.1233 2.1233 2.1233
Sr 2.1233 2.1233 6.3700
Sr 2.1233 6.3700 2.1233
Sr 2.1233 6.3700 6.3700
Sr 6.3700 2.1233 2.1233
Sr 6.3700 2.1233 6.3700
Sr 6.3700 6.3700 2.1233
Sr 6.3700 6.3700 6.3700
Ce 0.0000 0.0000 0.0000
Ce 0.0000 4.2466 4.2466
Ce 4.2466 0.0000 4.2466
Ce 4.2466 4.2466 0.0000
Nb 0.0000 0.0000 4.2466
Nb 0.0000 4.2466 0.0000
Nb 4.2466 0.0000 0.0000
Nb 4.2466 4.2466 4.2466
O 0.2892 4.6109 6.5059
O 0.2892 8.1290 6.2340
O 0.3642 1.9874 4.5358
O 0.3642 2.2593 8.2041
O 1.9874 4.5358 0.3642
O 1.9874 8.2041 3.8824
O 2.2593 4.5358 3.8824
O 2.2593 8.2041 0.3642
O 3.8824 1.9874 8.2041
O 3.8824 2.2593 4.5358
O 3.9574 4.6109 6.2340
O 3.9574 8.1290 6.5059
O 4.5358 0.3642 1.9874
O 4.5358 3.8824 2.2593
O 4.6109 6.2340 3.9574
O 4.6109 6.5059 0.2892
O 6.2340 0.2892 8.1290
O 6.2340 3.9574 4.6109
O 6.5059 0.2892 4.6109
O 6.5059 3.9574 8.1290
O 8.1290 6.2340 0.2892
O 8.1290 6.5059 3.9574
O 8.2041 0.3642 2.2593
O 8.2041 3.8824 1.9874
```



[8]
Computed X-ray diffraction stick pattern of Na5LiN2 for Cu Kα (λ = 1.5418 Å), from a crystal structure in the Materials Project, relaxed with GGA-PBE.
Lines closer than 0.1° are merged.

Principal peaks in the range 10° ≤ 2θ ≤ 90°, most intense first:
Position (°2θ), I_rel
32.0, 100
36.2, 90
34.1, 51
24.1, 38
46.2, 38
34.5, 31
49.3, 27
59.8, 26

Structure:
```
16
Lattice="5.6081 0.0000 0.0000 0.0000 8.3036 0.0000 -0.5157 0.0000 6.6611" Properties=species:S:1:pos:R:3 pbc="T T T"
Na 0.0000 0.0000 0.0000
Na -0.2578 0.1465 3.3306
Na -0.2578 5.5275 3.3306
Na -0.3110 2.8228 5.0961
Na 2.5993 6.9746 1.5651
Na 2.5462 1.3757 3.3306
Na 2.8040 4.1518 0.0000
Na 2.5462 4.2983 3.3306
Na 2.4931 6.9746 5.0961
Na 5.4034 2.8228 1.5651
Li 0.0000 5.3060 0.0000
Li 2.8040 1.1542 0.0000
N 1.1500 4.9632 1.5348
N 1.1384 0.8114 5.1263
N 3.9540 0.8114 1.5348
N 3.9424 4.9632 5.1263
```



[9]
Computed X-ray diffraction stick pattern of Mg6SbW for Cu Kα (λ = 1.5418 Å), from a crystal structure in the Materials Project, relaxed with GGA-PBE.
Lines closer than 0.1° are merged.

Principal peaks in the range 10° ≤ 2θ ≤ 90°, most intense first:
Position (°2θ), I_rel
38.9, 100
34.6, 81
17.1, 78
16.5, 76
23.8, 62
37.7, 54
49.7, 28
34.9, 24

Structure:
```
16
Lattice="5.1892 0.0000 0.0000 0.0000 5.9136 0.0000 0.0000 0.0000 10.7453" Properties=species:S:1:pos:R:3 pbc="T T T"
Mg 0.0000 0.0000 0.0000
Mg 0.0000 0.0000 5.2616
Mg 0.0000 1.4088 2.6834
Mg 0.0000 1.5480 8.0561
Mg 0.0000 2.9568 5.3727
Mg 0.0000 2.9568 10.6343
Mg 0.0000 4.3656 8.0561
Mg 0.0000 4.5048 2.6834
Mg 2.5946 1.4683 6.2569
Mg 2.5946 1.4885 0.8843
Mg 2.5946 4.4251 0.8843
Mg 2.5946 4.4453 6.2569
Sb 2.5946 0.0000 8.9671
Sb 2.5946 2.9568 3.5944
W 2.5946 0.0000 3.5585
W 2.5946 2.9568 8.9312
```



[10]
Computed X-ray diffraction stick pattern of UMn2SiC for Cu Kα (λ = 1.5418 Å), from a crystal structure in the Materials Project, relaxed with GGA-PBE.
Lines closer than 0.1° are merged.

Principal peaks in the range 10° ≤ 2θ ≤ 90°, most intense first:
Position (°2θ), I_rel
37.2, 100
37.5, 65
36.4, 56
25.3, 41
34.9, 35
31.7, 33
21.4, 26
62.4, 24

Structure:
```
10
Lattice="1.8650 -5.3125 0.0000 1.8650 5.3125 0.0000 0.0000 0.0000 6.6636" Properties=species:S:1:pos:R:3 pbc="T T T"
U 1.8650 4.7326 4.9977
U 1.8650 -4.7326 1.6659
Mn 1.8650 1.7761 3.7413
Mn 1.8650 1.7761 6.2542
Mn 1.8650 -1.7761 0.4095
Mn 1.8650 -1.7761 2.9224
Si 1.8650 2.9056 1.6659
Si 1.8650 -2.9056 4.9977
C 1.8650 0.0000 0.0000
C 1.8650 0.0000 3.3318
```



[11]
Computed X-ray diffraction stick pattern of ErSi2Ni2 for Cu Kα (λ = 1.5418 Å), from a crystal structure in the Materials Project, relaxed with GGA-PBE.
Lines closer than 0.1° are merged.

Principal peaks in the range 10° ≤ 2θ ≤ 90°, most intense first:
Position (°2θ), I_rel
37.3, 100
36.3, 53
24.4, 52
45.9, 39
59.9, 24
79.2, 21
53.4, 17
68.0, 17

Structure:
```
10
Lattice="3.9526 0.0000 0.0000 0.0000 3.9526 0.0000 0.0000 0.0000 9.5144" Properties=species:S:1:pos:R:3 pbc="T T T"
Er 0.0000 0.0000 0.0000
Er 1.9763 1.9763 4.7572
Si 0.0000 0.0000 3.5600
Si 0.0000 0.0000 5.9544
Si 1.9763 1.9763 1.1972
Si 1.9763 1.9763 8.3173
Ni 0.0000 1.9763 2.3786
Ni 0.0000 1.9763 7.1358
Ni 1.9763 0.0000 2.3786
Ni 1.9763 0.0000 7.1358
```



[12]
Computed X-ray diffraction stick pattern of Rb3NpO9 for Cu Kα (λ = 1.5418 Å), from a crystal structure in the Materials Project, relaxed with GGA-PBE.
Lines closer than 0.1° are merged.

Principal peaks in the range 10° ≤ 2θ ≤ 90°, most intense first:
Position (°2θ), I_rel
27.3, 100
15.6, 51
16.1, 45
21.7, 39
15.0, 33
27.5, 30
27.1, 30
28.2, 29

Structure:
```
26
Lattice="5.9103 -5.6692 0.0000 5.9103 5.6692 0.0000 -0.3123 0.0000 7.6461" Properties=species:S:1:pos:R:3 pbc="T T T"
Rb 5.6761 5.3252 5.7346
Rb 3.7573 1.0315 4.1802
Rb 3.9135 -1.0315 0.3572
Rb 7.5948 1.0315 7.2889
Rb 7.7510 -1.0315 3.4659
Rb 5.8322 -5.3252 1.9115
Np 2.9551 2.8346 0.0000
Np 2.7990 -2.8346 3.8230
O 2.3932 2.1203 1.6512
O 2.2835 1.1746 6.7973
O 5.4787 3.2682 3.5581
O 6.1857 3.2682 0.2650
O 5.3386 2.3009 0.4772
O 2.4396 -1.1746 2.9742
O 6.3258 2.3009 3.3459
O 2.2371 -2.1203 5.4743
O 5.8322 0.4728 1.9115
O 5.6761 -0.4728 5.7346
O 9.2712 2.1203 2.1718
O 5.1824 -2.3009 4.3002
O 9.0687 1.1746 4.6719
O 6.1697 -2.3009 7.1689
O 5.3226 -3.2682 7.3811
O 6.0296 -3.2682 4.0880
O 9.2248 -1.1746 0.8488
O 9.1151 -2.1203 5.9949
```